The following is a calculated PXRD pattern of Mg. It was derived from a cell relaxed with GGA-PBE, using Cu Kα, 1.54184 Å.
No peak broadening, texture or thermal motion is included.

Main lines, sorted by position (15° ≤ 2θ ≤ 90°):
| hkl | Position (°2θ) | intensity |
| --- | --- | --- |
| 1 1 0 | 35.47 | 100 |
| 2 0 0 | 51.03 | 17 |
| 2 1 1 | 63.68 | 34 |
| 2 2 0 | 75.06 | 10 |
| 3 1 0 | 85.86 | 13 |

Structural model:
Cell lengths 3.5793, 3.5793, 3.5793 Å; angles 90.00, 90.00, 90.00 degrees
Atoms (fractional coordinates):
Mg (0.0000, 0.0000, 0.0000)
Mg (0.5000, 0.5000, 0.5000)